NaInAuO: theoretical powder X-ray diffraction pattern (Cu Kα (λ = 1.5418 Å)), based on a PBE-relaxed structure.

Most intense lines, 15 to 90 degrees two-theta, by intensity:
| hkl | d (Å) | I_rel |
| --- | --- | --- |
| 2 0 -1 | 4.675 | 1000 |
| 1 1 2 | 2.341 | 606 |
| 3 1 1 | 2.498 | 508 |
| 2 0 0 | 5.887 | 488 |
| 5 1 0 | 2.087 | 301 |
| 0 2 0 | 2.275 | 274 |
| 2 2 -1 | 2.045 | 235 |
| 1 1 -3 | 1.838 | 181 |

Atomic structure:
```
data_NaInAuO
_chemical_formula_sum 'Na4 In4 Au4 O4'
_symmetry_space_group_name_H-M 'C 1 2/m 1'
_symmetry_Int_Tables_number 12
_symmetry_space_group_name_Hall '-C 2y'
_cell_length_a 12.003
_cell_length_b 4.549
_cell_length_c 6.035
_cell_angle_alpha 90.00
_cell_angle_beta 101.95
_cell_angle_gamma 90.00
loop_
_atom_site_label
_atom_site_fract_x
_atom_site_fract_y
_atom_site_fract_z
Na1 0.128 0.000 0.321
In1 0.094 0.500 0.724
Au1 0.204 0.000 0.883
O1 0.087 0.500 0.361
```